The following is a computed XRD peak list of Na2In12Ag7. It was derived from the GGA-PBE geometry in Alexandria, using Cu Kα (λ = 1.5418 Å).

Crystal structure
```
data_Na2In12Ag7
_chemical_formula_sum 'Na2 In12 Ag7'
_space_group_name_H-M_alt 'P -6'
_space_group_IT_number 174
_space_group_name_Hall 'P -6'
_cell_length_a 11.6547
_cell_length_b 11.6547
_cell_length_c 4.3378
_cell_angle_alpha 90.00
_cell_angle_beta 90.00
_cell_angle_gamma 120.00
loop_
_atom_site_label
_atom_site_fract_x
_atom_site_fract_y
_atom_site_fract_z
Na1 0.0000 0.0000 0.0000
Na2 0.3333 0.6667 0.5000
In1 0.0499 0.2864 0.5000
In2 0.1122 0.7231 0.0000
In3 0.3841 0.1771 0.0000
In4 0.5346 0.4251 0.5000
Ag1 0.0775 0.4683 0.0000
Ag2 0.2324 0.1958 0.5000
Ag3 0.6667 0.3333 0.0000
```

Main lines, most intense first (10 to 90 degrees two-theta):
- d 2.865, 31.22°, I 100, hkl 2 1 1
- d 2.352, 38.27°, I 58, hkl 1 3 1
- d 2.203, 40.98°, I 40, hkl 1 4 0
- d 2.169, 41.64°, I 31, hkl 0 0 2
- d 1.545, 59.85°, I 25, hkl 1 4 2
- d 5.827, 15.20°, I 24, hkl 1 1 0
- d 2.659, 33.71°, I 24, hkl 3 0 1
- d 2.316, 38.89°, I 23, hkl 3 2 0
- d 2.419, 37.17°, I 20, hkl 2 2 1
- d 2.181, 41.40°, I 18, hkl 4 0 1

---

The following is a computed XRD peak list of NaIn2Ag2. It was derived from the GGA-PBE geometry in Alexandria, using Cu Kα (λ = 1.5418 Å).

Crystal structure
```
data_NaIn2Ag2
_chemical_formula_sum 'Na2 In4 Ag4'
_space_group_name_H-M_alt 'P -1'
_space_group_IT_number 2
_space_group_name_Hall '-P 1'
_cell_length_a 4.7622
_cell_length_b 5.6525
_cell_length_c 9.5745
_cell_angle_alpha 85.84
_cell_angle_beta 76.16
_cell_angle_gamma 66.41
loop_
_atom_site_label
_atom_site_fract_x
_atom_site_fract_y
_atom_site_fract_z
Na1 0.0377 0.1232 0.2950
In1 0.3310 0.2851 0.5553
In2 0.3638 0.7931 0.9680
Ag1 0.1558 0.3300 0.8692
Ag2 0.3308 0.5415 0.2853
```

Main lines, most intense first (10 to 90 degrees two-theta):
- d 2.268, 39.75°, I 100, hkl 1 0 -3
- d 2.380, 37.79°, I 85, hkl 2 1 1
- d 2.237, 40.32°, I 79, hkl 1 1 4
- d 2.553, 35.15°, I 54, hkl 1 2 -1
- d 5.178, 17.12°, I 52, hkl 0 1 0
- d 2.587, 34.67°, I 43, hkl 1 -1 2
- d 4.474, 19.84°, I 36, hkl 0 1 1
- d 2.834, 31.57°, I 34, hkl 1 0 3
- d 2.278, 39.56°, I 29, hkl 1 1 -3
- d 2.247, 40.12°, I 28, hkl 1 2 -2